For Na3NiAsCO7, a crystal structure in Alexandria, relaxed with PBE+U gives the calculated powder diffractogram in this record (Cu Kα, 1.54184 Å).

Structural model:
a b c (Å): 5.2578 6.8473 9.0686
angles (deg): 90.00 91.19 90.00
Sites, in units of the cell vectors:
Na: 0.2307 0.2500 0.0799
Na: 0.2511 0.5059 0.7384
Na: 0.2511 0.9941 0.7384
Na: 0.7489 0.0059 0.2616
Na: 0.7489 0.4941 0.2616
Na: 0.7693 0.7500 0.9201
Ni: 0.2171 0.7500 0.3414
Ni: 0.7829 0.2500 0.6586
As: 0.2929 0.2500 0.4177
As: 0.7071 0.7500 0.5823
C: 0.2823 0.7500 0.0600
C: 0.7177 0.2500 0.9400
O: 0.0594 0.7500 0.1207
O: 0.1480 0.2500 0.5848
O: 0.2152 0.0533 0.3063
O: 0.2152 0.4467 0.3063
O: 0.3023 0.7500 0.9182
O: 0.3811 0.7500 0.5499
O: 0.4832 0.7500 0.1467
O: 0.5168 0.2500 0.8533
O: 0.6189 0.2500 0.4501
O: 0.6977 0.2500 0.0818
O: 0.7848 0.5533 0.6937
O: 0.7848 0.9467 0.6937
O: 0.8520 0.7500 0.4152
O: 0.9406 0.2500 0.8793

Top 12 peaks for 2θ from 10° to 80°, in order of rising 2θ:
| h k l | 2theta | d_spacing | I_rel |
| --- | --- | --- | --- |
| 1 0 -1 | 19.34 | 4.589 | 41 |
| 1 0 1 | 19.70 | 4.507 | 27 |
| 1 1 1 | 23.63 | 3.766 | 38 |
| 1 0 -2 | 25.68 | 3.469 | 41 |
| 0 2 0 | 26.03 | 3.424 | 100 |
| 1 1 2 | 29.34 | 3.044 | 37 |
| 1 2 -1 | 32.63 | 2.744 | 52 |
| 0 2 2 | 32.81 | 2.730 | 83 |
| 1 0 -3 | 33.91 | 2.644 | 30 |
| 2 0 0 | 34.11 | 2.628 | 69 |
| 0 2 4 | 48.17 | 1.889 | 43 |
| 0 4 0 | 53.51 | 1.712 | 42 |